1.
Diffraction record for BaZnAgPd. The powder XRD pattern is calculated, not measured: it uses the PBE geometry in Alexandria and a wavelength of 1.5418 Å.

Cell and atoms:
```
BaZnAgPd
1.0
3.9451 -2.2891 0.0000
3.9451 2.2891 0.0000
-2.6361 0.0000 5.6482
Ba Zn Ag Pd
1 1 1 1
direct
0.0000 0.0000 0.0000 Ba
0.4875 0.4875 0.4594 Zn
0.1976 0.1976 0.5901 Ag
0.8019 0.8019 0.4032 Pd
```

Main lines, by angle (10 to 80 degrees two-theta):
- 2θ 15.7, intensity 40.6
- 2θ 23.1, intensity 55.0
- 2θ 30.9, intensity 100.0
- 2θ 31.7, intensity 37.5
- 2θ 34.9, intensity 90.3
- 2θ 39.4, intensity 46.7
- 2θ 39.5, intensity 92.3
- 2θ 50.9, intensity 16.0
- 2θ 51.4, intensity 37.3
- 2θ 51.5, intensity 18.6
- 2θ 53.6, intensity 17.1
- 2θ 59.3, intensity 36.7



2.
Diffraction record for BaPm2Ag6. The powder XRD pattern is calculated, not measured: it uses the PBE geometry in Alexandria and a wavelength of 1.5418 Å.

Cell and atoms:
```
BaPm2Ag6
1.0
8.4310 0.0000 0.0000
-4.2155 7.3015 0.0000
0.0000 0.0000 3.7123
Ba Pm Ag
1 2 6
direct
0.0000 0.0000 0.0000 Ba
0.3333 0.6667 0.0000 Pm
0.6667 0.3333 0.0000 Pm
0.0000 0.3386 0.5000 Ag
0.0000 0.6614 0.5000 Ag
0.3386 0.0000 0.5000 Ag
0.3386 0.3386 0.5000 Ag
0.6614 0.0000 0.5000 Ag
0.6614 0.6614 0.5000 Ag
```

Main lines, by angle (10 to 80 degrees two-theta):
- 2θ 21.1, intensity 1.8
- 2θ 24.0, intensity 3.9
- 2θ 32.1, intensity 100.0
- 2θ 36.9, intensity 70.9
- 2θ 44.5, intensity 4.0
- 2θ 49.1, intensity 10.3
- 2θ 49.7, intensity 28.6
- 2θ 63.0, intensity 28.4
- 2θ 63.5, intensity 26.8
- 2θ 66.5, intensity 11.9
- 2θ 71.8, intensity 0.8
- 2θ 78.6, intensity 7.4



3.
Diffraction record for BaPmAg2Se4. The powder XRD pattern is calculated, not measured: it uses the PBE geometry in Alexandria and a wavelength of 1.5418 Å.

Cell and atoms:
```
BaPmAg2Se4
1.0
-3.6968 3.7064 4.2514
3.6968 -3.7064 4.2514
3.6968 3.7064 -4.2514
Ba Pm Ag Se
1 1 2 4
direct
0.0000 0.0000 0.0000 Ba
0.5000 0.5000 0.0000 Pm
0.2522 0.7522 0.5000 Ag
0.7478 0.2478 0.5000 Ag
0.0769 0.5109 0.0002 Se
0.4892 0.4891 0.5660 Se
0.5108 0.0767 0.9998 Se
0.9231 0.9233 0.4340 Se
```

Main lines, by angle (10 to 80 degrees two-theta):
- 2θ 24.0, intensity 11.0
- 2θ 27.0, intensity 100.0
- 2θ 28.9, intensity 9.2
- 2θ 32.1, intensity 21.7
- 2θ 34.3, intensity 59.3
- 2θ 42.5, intensity 11.4
- 2θ 44.2, intensity 59.2
- 2θ 49.2, intensity 9.1
- 2θ 49.3, intensity 9.0
- 2θ 49.4, intensity 9.6
- 2θ 55.7, intensity 18.8
- 2θ 79.0, intensity 10.8



4.
Diffraction record for Ba2Ag5Pt5. The powder XRD pattern is calculated, not measured: it uses the PBE geometry in Alexandria and a wavelength of 1.5418 Å.

Cell and atoms:
```
Ba2Ag5Pt5
1.0
4.5440 0.0000 0.0000
0.0000 5.6831 0.0000
0.0000 0.0000 9.8460
Ba Ag Pt
2 5 5
direct
0.0000 0.0000 0.0000 Ba
0.0000 0.5000 0.5000 Ba
0.0000 0.0000 0.3267 Ag
0.0000 0.0000 0.6733 Ag
0.0000 0.5000 0.1675 Ag
0.0000 0.5000 0.8325 Ag
0.5000 0.0000 0.5000 Ag
0.5000 0.2476 0.2438 Pt
0.5000 0.2476 0.7562 Pt
0.5000 0.5000 0.0000 Pt
0.5000 0.7524 0.2438 Pt
0.5000 0.7524 0.7562 Pt
```

Main lines, by angle (10 to 80 degrees two-theta):
- 2θ 18.0, intensity 28.8
- 2θ 26.7, intensity 32.9
- 2θ 36.5, intensity 56.4
- 2θ 37.3, intensity 100.0
- 2θ 39.7, intensity 38.9
- 2θ 41.7, intensity 67.5
- 2θ 55.0, intensity 35.3
- 2θ 59.9, intensity 23.9
- 2θ 65.7, intensity 25.5
- 2θ 70.4, intensity 15.1
- 2θ 73.4, intensity 12.7
- 2θ 79.6, intensity 29.9



5.
Diffraction record for Ba6AgPt2. The powder XRD pattern is calculated, not measured: it uses the PBE geometry in Alexandria and a wavelength of 1.5418 Å.

Cell and atoms:
```
Ba6AgPt2
1.0
4.0315 2.3276 7.6034
-4.0315 2.3276 7.6034
0.0000 -4.6552 7.6034
Ba Ag Pt
6 1 2
direct
0.0000 0.3463 0.6537 Ba
0.2014 0.8072 0.4953 Ba
0.3463 0.6537 0.0000 Ba
0.4953 0.2014 0.8072 Ba
0.6537 0.0000 0.3463 Ba
0.8072 0.4953 0.2014 Ba
0.9146 0.9146 0.9146 Ag
0.4118 0.4118 0.4118 Pt
0.5901 0.5901 0.5901 Pt
```

Main lines, by angle (10 to 80 degrees two-theta):
- 2θ 13.3, intensity 39.9
- 2θ 14.9, intensity 25.0
- 2θ 20.1, intensity 15.3
- 2θ 25.0, intensity 100.0
- 2θ 32.4, intensity 92.5
- 2θ 38.7, intensity 52.2
- 2θ 42.1, intensity 25.5
- 2θ 46.6, intensity 15.9
- 2θ 51.3, intensity 23.1
- 2θ 62.1, intensity 12.1
- 2θ 63.2, intensity 23.1
- 2θ 66.1, intensity 21.7



6.
Diffraction record for Ba16Ag5Pt3. The powder XRD pattern is calculated, not measured: it uses the PBE geometry in Alexandria and a wavelength of 1.5418 Å.

Cell and atoms:
```
Ba16Ag5Pt3
1.0
8.2722 -4.7155 0.0000
8.2722 4.7155 0.0000
-0.0085 0.0000 15.3971
Ba Ag Pt
16 5 3
direct
0.0000 0.0000 0.0000 Ba
0.0050 0.4717 0.9944 Ba
0.1520 0.1520 0.7282 Ba
0.1676 0.6720 0.7343 Ba
0.3133 0.3133 0.2347 Ba
0.3170 0.8410 0.2325 Ba
0.4717 0.0050 0.9944 Ba
0.4833 0.4833 0.9879 Ba
0.4849 0.9737 0.4969 Ba
0.5000 0.5000 0.5008 Ba
0.6503 0.6503 0.7294 Ba
0.6720 0.1676 0.7343 Ba
0.8300 0.8300 0.2452 Ba
0.8410 0.3170 0.2325 Ba
0.9737 0.4849 0.4969 Ba
0.9991 0.9991 0.5045 Ba
0.1577 0.6554 0.1171 Ag
0.3234 0.3234 0.8531 Ag
0.6554 0.1577 0.1171 Ag
0.6565 0.6565 0.3569 Ag
0.8244 0.8244 0.6171 Ag
0.1584 0.1584 0.1145 Pt
0.3259 0.8242 0.6159 Pt
0.8242 0.3259 0.6159 Pt
```

Main lines, by angle (10 to 80 degrees two-theta):
- 2θ 11.5, intensity 39.9
- 2θ 12.2, intensity 44.9
- 2θ 24.4, intensity 48.1
- 2θ 24.6, intensity 100.0
- 2θ 27.7, intensity 35.5
- 2θ 27.9, intensity 70.2
- 2θ 31.9, intensity 23.3
- 2θ 36.5, intensity 41.5
- 2θ 37.8, intensity 61.0
- 2θ 38.2, intensity 31.3
- 2θ 41.5, intensity 23.8
- 2θ 62.0, intensity 25.0



7.
Diffraction record for Ba3AgPt8. The powder XRD pattern is calculated, not measured: it uses the PBE geometry in Alexandria and a wavelength of 1.5418 Å.

Cell and atoms:
```
Ba3AgPt8
1.0
2.8117 1.6233 9.1395
-2.8117 1.6233 9.1395
0.0000 -3.2467 9.1395
Ba Ag Pt
3 1 8
direct
0.0000 0.0000 0.0000 Ba
0.1271 0.1271 0.1271 Ba
0.5079 0.5079 0.5079 Ba
0.6318 0.6318 0.6318 Ag
0.0605 0.5642 0.5642 Pt
0.0670 0.0670 0.5682 Pt
0.0670 0.5682 0.0670 Pt
0.3149 0.3149 0.3149 Pt
0.5642 0.0605 0.5642 Pt
0.5642 0.5642 0.0605 Pt
0.5682 0.0670 0.0670 Pt
0.8153 0.8153 0.8153 Pt
```

Main lines, by angle (10 to 80 degrees two-theta):
- 2θ 19.4, intensity 29.9
- 2θ 31.8, intensity 10.7
- 2θ 31.9, intensity 10.2
- 2θ 37.5, intensity 100.0
- 2θ 37.6, intensity 32.4
- 2θ 39.3, intensity 54.8
- 2θ 39.4, intensity 17.9
- 2θ 45.7, intensity 16.4
- 2θ 60.6, intensity 32.9
- 2θ 60.7, intensity 7.8
- 2θ 66.5, intensity 20.9
- 2θ 66.7, intensity 19.5



8.
Diffraction record for BaAg4Pt2. The powder XRD pattern is calculated, not measured: it uses the PBE geometry in Alexandria and a wavelength of 1.5418 Å.

Cell and atoms:
```
BaAg4Pt2
1.0
4.5472 -3.5605 0.0000
4.5472 3.5605 0.0000
-3.4426 0.0000 4.4220
Ba Ag Pt
1 4 2
direct
0.0000 0.0000 0.0000 Ba
0.0012 0.6080 0.3044 Ag
0.3920 0.9988 0.6956 Ag
0.6080 0.0012 0.3044 Ag
0.9988 0.3920 0.6956 Ag
0.5003 0.5003 0.2491 Pt
0.4997 0.4997 0.7509 Pt
```

Main lines, by angle (10 to 80 degrees two-theta):
- 2θ 17.5, intensity 35.9
- 2θ 32.2, intensity 25.0
- 2θ 32.3, intensity 26.8
- 2θ 35.5, intensity 100.0
- 2θ 36.7, intensity 94.1
- 2θ 39.8, intensity 17.0
- 2θ 40.0, intensity 16.8
- 2θ 40.9, intensity 39.3
- 2θ 41.0, intensity 68.5
- 2θ 41.3, intensity 27.2
- 2θ 64.5, intensity 19.6
- 2θ 64.6, intensity 19.6



9.
Diffraction record for Ba3Ag2Pt. The powder XRD pattern is calculated, not measured: it uses the PBE geometry in Alexandria and a wavelength of 1.5418 Å.

Cell and atoms:
```
Ba3Ag2Pt
1.0
6.0128 0.0000 0.0000
0.0000 4.3803 0.0000
-2.7140 0.0000 8.4749
Ba Ag Pt
3 2 1
direct
0.0000 0.0000 0.0000 Ba
0.3751 0.5000 0.7181 Ba
0.6249 0.5000 0.2819 Ba
0.1586 0.0000 0.4024 Ag
0.8414 0.0000 0.5976 Ag
0.5000 0.0000 0.0000 Pt
```

Main lines, by angle (10 to 80 degrees two-theta):
- 2θ 20.3, intensity 24.4
- 2θ 25.6, intensity 21.7
- 2θ 29.3, intensity 100.0
- 2θ 29.5, intensity 57.1
- 2θ 29.7, intensity 78.4
- 2θ 30.1, intensity 44.2
- 2θ 31.7, intensity 28.1
- 2θ 41.2, intensity 31.6
- 2θ 41.7, intensity 27.0
- 2θ 42.8, intensity 43.9
- 2θ 51.6, intensity 32.8
- 2θ 67.9, intensity 21.7



10.
Diffraction record for Ba7Ag2Pt2. The powder XRD pattern is calculated, not measured: it uses the PBE geometry in Alexandria and a wavelength of 1.5418 Å.

Cell and atoms:
```
Ba7Ag2Pt2
1.0
4.6542 -6.2629 0.0000
4.6542 6.2629 0.0000
0.0000 0.0000 7.9424
Ba Ag Pt
7 2 2
direct
0.0000 0.0000 0.0000 Ba
0.0000 0.5000 0.2583 Ba
0.0000 0.5000 0.7417 Ba
0.5000 0.0000 0.2583 Ba
0.5000 0.0000 0.7417 Ba
0.5000 0.5000 0.2433 Ba
0.5000 0.5000 0.7567 Ba
0.1685 0.1685 0.5000 Ag
0.8315 0.8315 0.5000 Ag
0.2857 0.7143 0.0000 Pt
0.7143 0.2857 0.0000 Pt
```

Main lines, by angle (10 to 80 degrees two-theta):
- 2θ 11.1, intensity 18.3
- 2θ 18.0, intensity 28.0
- 2θ 22.1, intensity 48.8
- 2θ 23.8, intensity 19.6
- 2θ 25.4, intensity 27.8
- 2θ 28.5, intensity 56.3
- 2θ 29.6, intensity 33.3
- 2θ 32.6, intensity 45.5
- 2θ 32.9, intensity 100.0
- 2θ 37.9, intensity 18.7
- 2θ 38.7, intensity 18.6
- 2θ 45.7, intensity 21.2



11.
Diffraction record for Ba11AgRh2. The powder XRD pattern is calculated, not measured: it uses the PBE geometry in Alexandria and a wavelength of 1.5418 Å.

Cell and atoms:
```
Ba11AgRh2
1.0
-7.0463 7.2032 7.9197
7.0463 -7.2032 7.9197
7.0463 7.2032 -7.9197
Ba Ag Rh
22 2 4
direct
0.0000 0.0000 0.0000 Ba
0.0729 0.8472 0.6526 Ba
0.0814 0.4349 0.7948 Ba
0.1401 0.9349 0.3535 Ba
0.1946 0.4203 0.3474 Ba
0.1976 0.8147 0.0123 Ba
0.3024 0.3147 0.6171 Ba
0.3054 0.6528 0.2257 Ba
0.3599 0.7134 0.7948 Ba
0.4186 0.2134 0.3535 Ba
0.4271 0.0797 0.7743 Ba
0.5000 0.5000 0.0000 Ba
0.5729 0.9203 0.2257 Ba
0.5814 0.7866 0.6465 Ba
0.6401 0.2866 0.2052 Ba
0.6946 0.3472 0.7743 Ba
0.6976 0.6853 0.3829 Ba
0.8024 0.1853 0.9877 Ba
0.8054 0.5797 0.6526 Ba
0.8599 0.0651 0.6465 Ba
0.9186 0.5651 0.2052 Ba
0.9271 0.1528 0.3474 Ba
0.2500 0.7500 0.5000 Ag
0.7500 0.2500 0.5000 Ag
0.1586 0.1639 0.3225 Rh
0.3414 0.6639 0.0052 Rh
0.6586 0.3361 0.9948 Rh
0.8414 0.8361 0.6775 Rh
```

Main lines, by angle (10 to 80 degrees two-theta):
- 2θ 11.2, intensity 25.0
- 2θ 14.2, intensity 65.9
- 2θ 14.9, intensity 18.1
- 2θ 26.2, intensity 34.5
- 2θ 26.5, intensity 21.8
- 2θ 26.6, intensity 30.7
- 2θ 28.2, intensity 59.9
- 2θ 28.3, intensity 20.2
- 2θ 28.7, intensity 100.0
- 2θ 28.9, intensity 37.2
- 2θ 44.1, intensity 22.9
- 2θ 44.9, intensity 20.5



12.
Diffraction record for Ba4AgRh2. The powder XRD pattern is calculated, not measured: it uses the PBE geometry in Alexandria and a wavelength of 1.5418 Å.

Cell and atoms:
```
Ba4AgRh2
1.0
0.0000 7.0310 4.8295
7.0193 0.0000 4.8295
7.0193 7.0310 0.0000
Ba Ag Rh
8 2 4
direct
0.0805 0.2162 0.0315 Ba
0.2162 0.0805 0.6718 Ba
0.2185 0.5782 0.1695 Ba
0.3206 0.6794 0.4314 Ba
0.5782 0.2185 0.0338 Ba
0.6794 0.3206 0.5686 Ba
0.6814 0.8186 0.5706 Ba
0.8186 0.6814 0.9294 Ba
0.0739 0.0739 0.4261 Ag
0.8239 0.8239 0.1761 Ag
0.3069 0.5915 0.8006 Rh
0.4494 0.9489 0.9431 Rh
0.5915 0.3069 0.3011 Rh
0.9489 0.4494 0.6585 Rh
```

Main lines, by angle (10 to 80 degrees two-theta):
- 2θ 25.7, intensity 13.4
- 2θ 28.5, intensity 100.0
- 2θ 29.2, intensity 45.5
- 2θ 33.8, intensity 33.9
- 2θ 34.0, intensity 33.8
- 2θ 34.4, intensity 16.0
- 2θ 43.2, intensity 12.3
- 2θ 44.9, intensity 10.1
- 2θ 46.6, intensity 10.0
- 2θ 47.5, intensity 14.8
- 2θ 57.2, intensity 9.7
- 2θ 59.0, intensity 10.5